(1)
MnAl3V12: calculated X-ray powder pattern (Cu Kα X-rays), based on a cell relaxed with PBE.
Intensities are scaled so that the largest is 100.

Largest 10 diffraction maxima, sorted by position, 10° ≤ 2θ ≤ 80°:
- 37.69 deg, intensity 26
- 37.79 deg, intensity 13
- 42.35 deg, intensity 100
- 42.43 deg, intensity 51
- 46.65 deg, intensity 80
- 68.10 deg, intensity 13
- 71.23 deg, intensity 13
- 71.35 deg, intensity 14
- 74.40 deg, intensity 23
- 74.50 deg, intensity 12

Structural model:
Lattice parameters (Å, degrees): 4.761 4.771 9.552 90.00 90.00 90.00
Space group Pmmm (No. 47)
One atom of each set of equivalent atoms:
Mn: 0.000 0.000 0.000 [1 per cell]
Al: 0.000 0.000 0.500 [1 per cell]
Al: 0.500 0.500 0.249 [2 per cell]
V: 0.000 0.243 0.240 [4 per cell]
V: 0.243 0.500 0.000 [2 per cell]
V: 0.257 0.500 0.500 [2 per cell]
V: 0.500 0.000 0.118 [2 per cell]
V: 0.500 0.000 0.370 [2 per cell]

---

(2)
Sm11Cd9Ni4: calculated X-ray powder pattern (Cu Kα X-rays), based on a cell relaxed with PBE.
Intensities are scaled so that the largest is 100.

Largest 10 diffraction maxima, sorted by position, 10° ≤ 2θ ≤ 80°:
- 30.74 deg, intensity 11
- 32.34 deg, intensity 10
- 32.85 deg, intensity 10
- 34.38 deg, intensity 39
- 34.55 deg, intensity 100
- 36.73 deg, intensity 14
- 37.06 deg, intensity 10
- 37.47 deg, intensity 12
- 49.89 deg, intensity 14
- 61.99 deg, intensity 14

Structural model:
Lattice parameters (Å, degrees): 14.752 22.134 3.656 90.00 90.00 90.00
Space group Cmmm (No. 65)
One atom of each set of equivalent atoms:
Sm: 0.000 0.000 0.000 [2 per cell]
Sm: 0.000 0.161 0.000 [4 per cell]
Sm: 0.000 0.374 0.000 [4 per cell]
Sm: 0.189 0.500 0.000 [4 per cell]
Sm: 0.249 0.168 0.000 [8 per cell]
Cd: 0.000 0.500 0.500 [2 per cell]
Cd: 0.103 0.263 0.500 [8 per cell]
Cd: 0.149 0.070 0.500 [8 per cell]
Ni: 0.149 0.400 0.500 [8 per cell]

---

(3)
Hf4Co3Ir: calculated X-ray powder pattern (Cu Kα X-rays), based on a cell relaxed with PBE.
Intensities are scaled so that the largest is 100.

Largest 10 diffraction maxima, sorted by position, 10° ≤ 2θ ≤ 80°:
- 12.01 deg, intensity 3
- 23.08 deg, intensity 2
- 24.13 deg, intensity 3
- 27.94 deg, intensity 12
- 39.92 deg, intensity 100
- 49.42 deg, intensity 3
- 57.73 deg, intensity 17
- 65.33 deg, intensity 5
- 72.46 deg, intensity 26
- 72.57 deg, intensity 8

Structural model:
Lattice parameters (Å, degrees): 4.5194 4.5194 22.1024 90.00 90.00 120.00
Space group R-3m (No. 166, hexagonal axes)
One atom of each set of equivalent atoms:
Hf: 0.0000 0.0000 0.1226 [6 per cell]
Hf: 0.0000 0.0000 0.3727 [6 per cell]
Co: 0.0000 0.0000 0.0000 [3 per cell]
Co: 0.0000 0.0000 0.2501 [6 per cell]
Ir: 0.0000 0.0000 0.5000 [3 per cell]

---

(4)
KS6I: calculated X-ray powder pattern (Cu Kα X-rays), based on a cell relaxed with PBE.
Intensities are scaled so that the largest is 100.

Largest 10 diffraction maxima, sorted by position, 10° ≤ 2θ ≤ 80°:
- 10.70 deg, intensity 64
- 18.27 deg, intensity 63
- 25.44 deg, intensity 100
- 26.41 deg, intensity 87
- 27.41 deg, intensity 53
- 28.92 deg, intensity 57
- 29.29 deg, intensity 54
- 31.74 deg, intensity 70
- 32.01 deg, intensity 77
- 32.65 deg, intensity 58

Structural model:
Lattice parameters (Å, degrees): 4.516 6.319 8.371 90.41 98.52 102.09
Space group P-1 (No. 2)
One atom of each set of equivalent atoms:
K: 0.000 0.000 0.000 [1 per cell]
S: 0.198 0.532 0.857 [2 per cell]
S: 0.209 0.571 0.302 [2 per cell]
S: 0.463 0.330 0.290 [2 per cell]
I: 0.000 0.000 0.500 [1 per cell]

---

(5)
Hf6HgBi: calculated X-ray powder pattern (Cu Kα X-rays), based on a cell relaxed with PBE.
Intensities are scaled so that the largest is 100.

Largest 10 diffraction maxima, sorted by position, 10° ≤ 2θ ≤ 80°:
- 31.94 deg, intensity 40
- 35.83 deg, intensity 100
- 39.38 deg, intensity 90
- 56.92 deg, intensity 7
- 59.47 deg, intensity 23
- 61.96 deg, intensity 49
- 66.77 deg, intensity 18
- 75.93 deg, intensity 13
- 78.15 deg, intensity 18
- 78.21 deg, intensity 4

Structural model:
Lattice parameters (Å, degrees): 5.603 5.604 5.606 90.00 90.07 90.00
Space group P2/m (No. 10)
One atom of each set of equivalent atoms:
Hf: 0.000 0.246 0.000 [2 per cell]
Hf: 0.247 0.500 0.500 [2 per cell]
Hf: 0.499 0.000 0.254 [2 per cell]
Hg: 0.000 0.000 0.500 [1 per cell]
Bi: 0.500 0.500 0.000 [1 per cell]

---

(6)
Nd2Dy15Ho2: calculated X-ray powder pattern (Cu Kα X-rays), based on a cell relaxed with PBE.
Intensities are scaled so that the largest is 100.

Largest 10 diffraction maxima, sorted by position, 10° ≤ 2θ ≤ 80°:
- 27.43 deg, intensity 33
- 27.55 deg, intensity 30
- 30.64 deg, intensity 29
- 31.50 deg, intensity 59
- 31.60 deg, intensity 100
- 31.90 deg, intensity 66
- 34.66 deg, intensity 21
- 35.51 deg, intensity 78
- 56.61 deg, intensity 31
- 56.86 deg, intensity 30

Structural model:
Lattice parameters (Å, degrees): 11.2176 11.2176 17.5058 90.00 90.00 120.00
Space group R-3m (No. 166, hexagonal axes)
One atom of each set of equivalent atoms:
Nd: 0.0000 0.0000 0.1734 [6 per cell]
Dy: 0.0000 0.2970 0.5000 [18 per cell]
Dy: 0.0000 0.5000 0.0000 [9 per cell]
Dy: 0.0115 0.5058 0.6373 [18 per cell]
Ho: 0.0000 0.0000 0.4037 [6 per cell]

---

(7)
PmAl6Ni6: calculated X-ray powder pattern (Cu Kα X-rays), based on a cell relaxed with PBE.
Intensities are scaled so that the largest is 100.

Largest 10 diffraction maxima, sorted by position, 10° ≤ 2θ ≤ 80°:
- 14.67 deg, intensity 60
- 29.72 deg, intensity 77
- 41.58 deg, intensity 58
- 41.94 deg, intensity 100
- 42.05 deg, intensity 86
- 42.32 deg, intensity 46
- 42.53 deg, intensity 45
- 43.11 deg, intensity 59
- 47.44 deg, intensity 50
- 61.71 deg, intensity 40

Structural model:
Lattice parameters (Å, degrees): 4.961 8.394 8.688 90.00 90.00 90.00
Space group Immm (No. 71)
One atom of each set of equivalent atoms:
Pm: 0.000 0.000 0.000 [2 per cell]
Al: 0.000 0.000 0.348 [4 per cell]
Al: 0.000 0.342 0.000 [4 per cell]
Al: 0.000 0.500 0.302 [4 per cell]
Ni: 0.000 0.264 0.500 [4 per cell]
Ni: 0.250 0.250 0.250 [8 per cell]

---

(8)
LaPrHo4Tm2: calculated X-ray powder pattern (Cu Kα X-rays), based on a cell relaxed with PBE.
Intensities are scaled so that the largest is 100.

Largest 6 diffraction maxima, sorted by position, 10° ≤ 2θ ≤ 80°:
- 30.71 deg, intensity 100
- 35.61 deg, intensity 51
- 51.24 deg, intensity 36
- 60.94 deg, intensity 43
- 63.96 deg, intensity 12
- 75.40 deg, intensity 6

Structural model:
Lattice parameters (Å, degrees): 12.343 7.135 12.349 90.00 109.42 90.00
Space group C2/m (No. 12)
One atom of each set of equivalent atoms:
La: 0.250 0.250 0.000 [4 per cell]
Pr: 0.000 0.000 0.000 [2 per cell]
Pr: 0.000 0.000 0.500 [2 per cell]
Ho: 0.002 0.251 0.253 [8 per cell]
Ho: 0.248 0.500 0.745 [4 per cell]
Ho: 0.249 0.000 0.746 [4 per cell]
Tm: 0.000 0.500 0.000 [2 per cell]
Tm: 0.000 0.500 0.500 [2 per cell]
Tm: 0.250 0.250 0.500 [4 per cell]

---

(9)
Er2Bi: calculated X-ray powder pattern (Cu Kα X-rays), based on a cell relaxed with PBE.
Intensities are scaled so that the largest is 100.

Largest 10 diffraction maxima, sorted by position, 10° ≤ 2θ ≤ 80°:
- 27.89 deg, intensity 22
- 29.84 deg, intensity 81
- 31.54 deg, intensity 40
- 35.10 deg, intensity 100
- 39.86 deg, intensity 59
- 51.68 deg, intensity 45
- 57.64 deg, intensity 20
- 61.75 deg, intensity 18
- 67.20 deg, intensity 19
- 69.30 deg, intensity 28

Structural model:
Lattice parameters (Å, degrees): 4.524 4.524 8.509 90.00 90.00 90.00
Space group P4/nmm (No. 129, origin choice 2)
One atom of each set of equivalent atoms:
Er: 0.250 0.250 0.157 [2 per cell]
Er: 0.250 0.750 0.500 [2 per cell]
Bi: 0.250 0.250 0.786 [2 per cell]

---

(10)
Tl2Se2S7: calculated X-ray powder pattern (Cu Kα X-rays), based on a cell relaxed with PBE.
Intensities are scaled so that the largest is 100.

Largest 10 diffraction maxima, sorted by position, 10° ≤ 2θ ≤ 80°:
- 12.49 deg, intensity 90
- 18.27 deg, intensity 100
- 21.91 deg, intensity 54
- 23.61 deg, intensity 54
- 24.13 deg, intensity 55
- 29.47 deg, intensity 49
- 29.93 deg, intensity 72
- 31.37 deg, intensity 57
- 32.23 deg, intensity 61
- 35.26 deg, intensity 66

Structural model:
Lattice parameters (Å, degrees): 10.239 11.942 6.427 90.00 120.65 90.00
Space group Cm (No. 8)
One atom of each set of equivalent atoms:
Tl: 0.000 0.000 0.000 [2 per cell]
Tl: 0.190 0.500 0.290 [2 per cell]
Se: 0.435 0.300 0.593 [4 per cell]
S: 0.117 0.500 0.724 [2 per cell]
S: 0.135 0.240 0.200 [4 per cell]
S: 0.158 0.237 0.909 [4 per cell]
S: 0.350 0.000 0.134 [2 per cell]
S: 0.396 0.000 0.477 [2 per cell]